Co2CuN2: calculated powder X-ray diffraction pattern (CuKα), based on a crystal structure in the Materials Project, relaxed with PBE.
Neutral-atom scattering factors, no anomalous dispersion.

The 12 most intense peaks (10° ≤ 2θ ≤ 80°), in order of rising 2θ:
- 2θ = 32.50°, I 52, hkl 2 0 -1
- 2θ = 32.66°, I 100, hkl 1 1 0
- 2θ = 37.74°, I 32, hkl 2 0 -2
- 2θ = 38.19°, I 65, hkl 1 1 1
- 2θ = 40.86°, I 93, hkl 1 1 -2
- 2θ = 41.30°, I 45, hkl 2 0 1
- 2θ = 45.27°, I 52, hkl 0 0 3
- 2θ = 57.44°, I 87, hkl 0 2 0
- 2θ = 61.54°, I 32, hkl 1 1 3
- 2θ = 75.39°, I 19, hkl 3 1 -4
- 2θ = 76.05°, I 19, hkl 0 2 3
- 2θ = 76.55°, I 19, hkl 3 1 2

Atomic structure:
```
data_Co2CuN2
_symmetry_space_group_name_H-M 'C 1 2/m 1'
_symmetry_Int_Tables_number 12
_symmetry_space_group_name_Hall '-C 2y'
_cell_length_a 5.563
_cell_length_b 3.205
_cell_length_c 6.317
_cell_angle_alpha 90.00
_cell_angle_beta 107.95
_cell_angle_gamma 90.00
loop_
_atom_site_label
_atom_site_type_symbol
_atom_site_fract_x
_atom_site_fract_y
_atom_site_fract_z
Co1 Co 0.213 0.000 0.137
Cu1 Cu 0.000 0.000 0.500
N1 N 0.101 0.000 0.810
```